Li4Ti3Fe2Sn3O16: computed powder XRD pattern (λ = 1.5418 Å (Cu Kα)), based on a PBE+U-relaxed structure.
Intensities are scaled so that the largest is 100.

Top 12 peaks for 2θ = 15–90°, in order of falling intensity:
d 4.976, I = 100.0, hkl 0 0 4
d 4.679, I = 75.9, hkl 0 1 -2
d 2.566, I = 56.4, hkl 2 0 -2
d 2.071, I = 34.2, hkl 2 0 6
d 1.536, I = 28.3, hkl 2 4 0
d 2.608, I = 27.6, hkl 1 -1 4
d 3.624, I = 27.5, hkl 0 1 -4
d 4.704, I = 22.1, hkl 1 1 2
d 5.324, I = 22.1, hkl 0 1 0
d 1.587, I = 20.0, hkl 0 2 -10
d 3.649, I = 19.7, hkl 0 1 4
d 2.811, I = 18.2, hkl 1 0 -6

Cell and atoms:
```
Li4Ti3Fe2Sn3O16
1.0
6.1168 0.0000 0.0000
3.0580 5.3292 0.0000
0.0831 0.1528 19.9027
Li Ti Fe Sn O
8 6 4 6 32
direct
0.0000 0.0000 0.0000
0.0007 0.9993 0.4999
0.0041 0.9913 0.7474
0.0062 0.9898 0.2475
0.3218 0.3512 0.1925
0.3227 0.3503 0.6927
0.6552 0.6835 0.4452
0.6570 0.6829 0.9455
0.1567 0.6727 0.3589
0.1608 0.6752 0.8578
0.3305 0.8429 0.6076
0.3295 0.8439 0.1078
0.8220 0.8455 0.1067
0.8239 0.8449 0.6069
0.3238 0.3478 0.4978
0.3251 0.3482 0.9976
0.6514 0.6868 0.2456
0.6579 0.6832 0.7453
0.1615 0.1816 0.8566
0.1645 0.1779 0.3559
0.6546 0.1826 0.8566
0.6557 0.1827 0.3566
0.8232 0.3523 0.1063
0.8235 0.3528 0.6060
0.0005 0.9990 0.4091
0.0224 0.5073 0.4141
0.0253 0.5071 0.9151
0.1468 0.7020 0.0556
0.1484 0.7016 0.5558
0.1567 0.1616 0.0517
0.1571 0.1636 0.5509
0.3074 0.8447 0.8023
0.3137 0.8408 0.3020
0.3190 0.3609 0.7986
0.3207 0.3603 0.2989
0.4643 0.5082 0.9149
0.4659 0.5035 0.4163
0.4764 0.0443 0.9171
0.4773 0.0437 0.4172
0.4964 0.5412 0.1634
0.4973 0.5417 0.6636
0.5088 0.9788 0.1605
0.5108 0.9738 0.6621
0.6493 0.7006 0.5510
0.6507 0.6983 0.0511
0.6801 0.1613 0.0516
0.6827 0.1603 0.5518
0.8375 0.3245 0.7977
0.8408 0.3200 0.2979
0.8462 0.8446 0.8025
0.8487 0.8436 0.3027
0.9516 0.5442 0.1656
0.9576 0.5415 0.6638
0.9972 0.0022 0.9091
0.9977 0.0013 0.1569
0.9986 0.0024 0.6568
```

=====

Li4Ti2Fe3Sn3O16: computed powder XRD pattern (λ = 1.5418 Å (Cu Kα)), based on a PBE+U-relaxed structure.
Intensities are scaled so that the largest is 100.

Top 12 peaks for 2θ = 15–90°, in order of falling intensity:
d 4.855, I = 100.0, hkl 0 0 2
d 4.667, I = 91.6, hkl 1 0 1
d 2.566, I = 61.4, hkl 0 2 1
d 2.560, I = 35.3, hkl 2 0 -1
d 3.588, I = 32.0, hkl 1 0 -2
d 1.536, I = 28.7, hkl 2 4 0
d 2.054, I = 28.3, hkl 2 0 3
d 2.060, I = 28.0, hkl 2 2 3
d 2.600, I = 22.3, hkl 2 1 2
d 2.659, I = 21.9, hkl 2 2 0
d 2.336, I = 19.5, hkl 2 2 2
d 2.760, I = 19.4, hkl 1 0 -3

Cell and atoms:
```
Li4Ti2Fe3Sn3O16
1.0
6.1315 0.0000 0.0000
3.0589 5.3243 0.0000
0.0440 0.0457 9.7098
Li Ti Fe Sn O
4 2 3 3 16
direct
0.0000 0.0000 0.0000
0.0057 0.9932 0.4870
0.3691 0.3111 0.0939
0.6859 0.6547 0.5891
0.3701 0.3189 0.4866
0.7211 0.6433 0.0103
0.6763 0.1614 0.7704
0.8539 0.3298 0.2723
0.8539 0.8160 0.2778
0.1883 0.1583 0.7749
0.1898 0.6497 0.7744
0.3657 0.8173 0.2740
0.0084 0.9943 0.6737
0.0187 0.9947 0.1855
0.0518 0.4743 0.6472
0.1925 0.1577 0.3946
0.2059 0.6433 0.4001
0.3381 0.8268 0.8927
0.3622 0.3167 0.8886
0.5002 0.0317 0.6445
0.5006 0.4651 0.6439
0.5395 0.9400 0.1311
0.5507 0.5019 0.1425
0.6719 0.1743 0.3974
0.6974 0.6430 0.3843
0.8474 0.3234 0.8910
0.8507 0.8212 0.8941
0.9867 0.4918 0.1314
```

=====

Li4Ti2Fe3Sn3O16: computed powder XRD pattern (λ = 1.5418 Å (Cu Kα)), based on a PBE+U-relaxed structure.
Intensities are scaled so that the largest is 100.

Top 12 peaks for 2θ = 15–90°, in order of falling intensity:
d 4.857, I = 100.0, hkl 0 0 2
d 4.654, I = 93.2, hkl 0 1 1
d 2.563, I = 47.9, hkl 2 0 -1
d 2.047, I = 42.9, hkl 2 0 3
d 2.588, I = 29.8, hkl 1 1 2
d 2.556, I = 29.7, hkl 2 0 1
d 1.536, I = 28.1, hkl 2 2 0
d 2.058, I = 24.7, hkl 2 0 -3
d 2.324, I = 22.5, hkl 2 0 2
d 3.573, I = 19.0, hkl 0 1 2
d 2.577, I = 18.5, hkl 0 2 -1
d 1.564, I = 16.9, hkl 2 0 5

Cell and atoms:
```
Li4Ti2Fe3Sn3O16
1.0
6.1198 0.0000 0.0000
-3.0588 5.3304 0.0000
-0.0020 -0.1037 9.7150
Li Ti Fe Sn O
4 2 3 3 16
direct
0.0000 0.0000 0.0000
0.0016 0.0042 0.4886
0.3422 0.6842 0.5896
0.6803 0.3613 0.0968
0.3588 0.7182 0.0055
0.6842 0.3705 0.4873
0.1864 0.8505 0.2728
0.6634 0.8504 0.2729
0.8386 0.6750 0.7702
0.1802 0.3617 0.2752
0.3489 0.1893 0.7745
0.8395 0.1887 0.7748
0.0041 0.0086 0.6758
0.0065 0.0140 0.1864
0.0546 0.5453 0.1409
0.1708 0.3432 0.8937
0.1808 0.8516 0.8954
0.3456 0.6917 0.3864
0.3495 0.1902 0.3950
0.4897 0.5449 0.1410
0.4901 0.9809 0.1355
0.5246 0.0484 0.6469
0.5293 0.4948 0.6414
0.6708 0.8512 0.8955
0.6792 0.3599 0.8907
0.8342 0.6694 0.3959
0.8402 0.1905 0.3951
0.9648 0.4960 0.6422
```

=====

What is the formula in the first record?
Li4Ti3Fe2Sn3O16